[1]
# Ca3Ru2N4
Theoretical powder XRD pattern, Cu Kα (weighted mean of Kα1 and Kα2). Input: a crystal structure in the Materials Project, relaxed with PBE.
Kinematic intensities with the Lorentz-polarization factor, no thermal factor.

Top 6 peaks for 10 to 90 degrees two-theta, in order of rising 2θ:
two_theta  I (rel.)
18.05  100
20.61  45
34.64  73
39.68  41
46.71  30
50.09  23

Structural model:
```
36
Lattice="5.982 0.000 0.000 0.000 10.245 0.000 0.000 0.000 8.620" Properties=species:S:1:pos:R:3 pbc="T T T"
Ca 0.744 1.574 0.667
Ca 0.744 3.548 3.643
Ca 1.496 0.000 3.459
Ca 1.496 5.122 0.851
Ca 2.247 6.697 3.643
Ca 2.247 8.670 0.667
Ca 3.735 1.574 7.953
Ca 3.735 3.548 4.976
Ca 4.487 0.000 5.160
Ca 4.487 5.122 7.769
Ca 5.238 6.697 4.976
Ca 5.238 8.670 7.953
Ru 1.159 2.561 6.465
Ru 1.496 0.000 6.413
Ru 1.496 5.122 6.517
Ru 1.832 7.683 6.465
Ru 4.150 2.561 2.155
Ru 4.487 0.000 2.207
Ru 4.487 5.122 2.103
Ru 4.823 7.683 2.155
N 0.174 6.133 2.731
N 0.174 9.234 1.578
N 0.490 6.591 7.407
N 0.490 8.776 5.523
N 2.501 1.469 5.523
N 2.501 3.653 7.407
N 2.817 1.011 1.578
N 2.817 4.112 2.731
N 3.165 6.133 5.888
N 3.165 9.234 7.041
N 3.481 6.591 1.213
N 3.481 8.776 3.097
N 5.492 1.469 3.097
N 5.492 3.653 1.213
N 5.808 1.011 7.041
N 5.808 4.112 5.888
```

***

[2]
# CaRuN2
Theoretical powder XRD pattern, Cu Kα (weighted mean of Kα1 and Kα2). Input: a crystal structure in the Materials Project, relaxed with PBE.
Kinematic intensities with the Lorentz-polarization factor, no thermal factor.

Top 6 peaks for 10 to 90 degrees two-theta, in order of rising 2θ:
two_theta  I (rel.)
17.23  48
34.14  77
34.87  26
39.85  100
57.13  33
58.11  28

Structural model:
```
12
Lattice="3.225 0.000 0.000 -1.612 2.793 0.000 0.000 0.000 15.436" Properties=species:S:1:pos:R:3 pbc="T T T"
Ca 0.000 0.000 0.000
Ca 0.000 1.862 10.291
Ca 1.612 0.931 5.145
Ru 0.000 0.000 7.718
Ru 0.000 1.862 2.573
Ru 1.612 0.931 12.863
N 0.000 0.000 3.599
N 0.000 0.000 11.837
N 0.000 1.862 6.692
N 0.000 1.862 13.889
N 1.612 0.931 1.547
N 1.612 0.931 8.744
```

***

[3]
# Ca2SbN3
Theoretical powder XRD pattern, Cu Kα (weighted mean of Kα1 and Kα2). Input: a crystal structure in the Materials Project, relaxed with PBE.
Kinematic intensities with the Lorentz-polarization factor, no thermal factor.

Top 6 peaks for 10 to 90 degrees two-theta, in order of rising 2θ:
two_theta  I (rel.)
16.01  90
21.86  96
29.30  53
30.57  94
31.73  93
32.70  100

Structural model:
```
24
Lattice="2.931 -5.536 0.000 2.931 5.536 0.000 -0.831 0.000 12.192" Properties=species:S:1:pos:R:3 pbc="T T T"
Ca 0.673 2.228 10.562
Ca 0.944 1.363 5.161
Ca 0.529 -1.363 11.257
Ca 1.088 -2.228 4.466
Ca 3.943 2.228 7.725
Ca 4.502 1.363 0.935
Ca 4.087 -1.363 7.031
Ca 4.358 -2.228 1.630
Sb 1.013 0.069 7.995
Sb 1.428 -0.069 1.899
Sb 3.603 0.069 10.293
Sb 4.018 -0.069 4.197
N 2.723 5.074 3.048
N 1.057 1.199 0.432
N 1.541 1.912 7.510
N 0.642 -1.199 6.528
N 2.723 1.057 3.048
N 3.075 1.912 10.778
N 1.957 -1.912 1.414
N 2.308 -1.057 9.144
N 4.389 1.199 5.664
N 3.490 -1.912 4.682
N 3.974 -1.199 11.759
N 2.308 -5.074 9.144
```

***

Copy entry 3 word for word.
# Ca2SbN3
Theoretical powder XRD pattern, Cu Kα (weighted mean of Kα1 and Kα2). Input: a crystal structure in the Materials Project, relaxed with PBE.
Kinematic intensities with the Lorentz-polarization factor, no thermal factor.

Top 6 peaks for 10 to 90 degrees two-theta, in order of rising 2θ:
two_theta  I (rel.)
16.01  90
21.86  96
29.30  53
30.57  94
31.73  93
32.70  100

Structural model:
```
24
Lattice="2.931 -5.536 0.000 2.931 5.536 0.000 -0.831 0.000 12.192" Properties=species:S:1:pos:R:3 pbc="T T T"
Ca 0.673 2.228 10.562
Ca 0.944 1.363 5.161
Ca 0.529 -1.363 11.257
Ca 1.088 -2.228 4.466
Ca 3.943 2.228 7.725
Ca 4.502 1.363 0.935
Ca 4.087 -1.363 7.031
Ca 4.358 -2.228 1.630
Sb 1.013 0.069 7.995
Sb 1.428 -0.069 1.899
Sb 3.603 0.069 10.293
Sb 4.018 -0.069 4.197
N 2.723 5.074 3.048
N 1.057 1.199 0.432
N 1.541 1.912 7.510
N 0.642 -1.199 6.528
N 2.723 1.057 3.048
N 3.075 1.912 10.778
N 1.957 -1.912 1.414
N 2.308 -1.057 9.144
N 4.389 1.199 5.664
N 3.490 -1.912 4.682
N 3.974 -1.199 11.759
N 2.308 -5.074 9.144
```